Rb3V2AgO8: calculated powder diffractogram (copper Kα), based on the PBE+U geometry in Alexandria.

Peak list (10 most intense, 2θ from 10° to 90°, by angle)
- 7.926 Å, 11.2 deg, intensity 157
- 3.151 Å, 28.3 deg, intensity 944
- 3.000 Å, 29.8 deg, intensity 1000
- 2.173 Å, 41.6 deg, intensity 473
- 1.760 Å, 52.0 deg, intensity 330
- 1.732 Å, 52.9 deg, intensity 187
- 1.653 Å, 55.6 deg, intensity 201
- 1.500 Å, 61.9 deg, intensity 172
- 1.354 Å, 69.4 deg, intensity 162
- 1.304 Å, 72.5 deg, intensity 121

Crystal structure
Unit cell a=6.0001 b=6.0001 c=7.9264 alpha=90.00 beta=90.00 gamma=120.00
Space group P-3m1 (No. 164)
Unique sites:
1 Rb 0.0000 0.0000 0.0000
2 Rb 0.3333 0.6667 0.7024
3 V 0.3333 0.6667 0.2639
4 Ag 0.0000 0.0000 0.5000
5 O 0.1707 0.3413 0.3285
6 O 0.3333 0.6667 0.0512